Simulated PXRD pattern
Compound: BaBe2As3
Radiation: Cu Kα
Structure: a cell relaxed with GGA-PBE

```
data_BaBe2As3
_chemical_formula_sum 'Ba2 Be4 As6'
_space_group_name_H-M_alt 'I 4/m m m'
_space_group_IT_number 139
_space_group_name_Hall '-I 4 2'
_cell_length_a 4.4432
_cell_length_b 4.4432
_cell_length_c 13.1498
_cell_angle_alpha 90.00
_cell_angle_beta 90.00
_cell_angle_gamma 90.00
loop_
_atom_site_label
_atom_site_type_symbol
_atom_site_fract_x
_atom_site_fract_y
_atom_site_fract_z
Ba1 Ba 0.0000 0.0000 0.0000
Be1 Be 0.0000 0.0000 0.3369
As1 As 0.0000 0.0000 0.5000
As2 As 0.0000 0.5000 0.2500
```

The 10 most intense peaks (2θ = 15–90°), by angle:
2θ/deg, I/Imax
27.12, 368
31.56, 1000
40.61, 274
49.52, 277
50.79, 283
58.78, 91
65.90, 117
68.26, 212
71.38, 94
81.35, 145